Starting from a cell relaxed with GGA-PBE, the X-ray diffraction stick pattern of Ga4Pd2Pt9 was computed for Cu Kα (λ = 1.5418 Å).
Intensities are scaled so that the largest is 100.

Most intense lines, 10 to 80 degrees two-theta, low angle first:
d [Å]  2θ (°)  I_rel
3.614  24.63  15.3
3.343  26.67  12.1
2.357  38.18  67.5
2.148  42.07  100.0
2.097  43.13  54.4
1.588  58.10  20.0
1.501  61.83  18.9
1.277  74.29  19.4
1.240  76.88  17.2
1.230  77.62  19.7

Structure:
```
Ga4Pd2Pt9
1.0
4.2955 0.0000 0.0000
-2.1477 3.7200 0.0000
0.0000 0.0000 15.2378
Ga Pd Pt
4 2 9
Cartesian
0.0000 2.4800 1.7753
0.0000 2.4800 5.6760
2.1477 1.2400 9.5617
2.1477 1.2400 13.4625
0.0000 2.4800 11.6369
2.1477 1.2400 3.6009
0.0000 0.0000 2.2081
0.0000 0.0000 4.9228
0.0000 0.0000 7.6189
0.0000 0.0000 10.3149
0.0000 0.0000 13.0297
0.0000 2.4800 8.7754
0.0000 2.4800 14.4657
2.1477 1.2400 0.7721
2.1477 1.2400 6.4624
```